1.
Starting from the GGA-PBE geometry in Alexandria, the powder diffractogram of La4Nd3Zn was calculated for λ = 1.5418 Å (Cu Kα).

Cell lengths 3.7502, 3.7502, 19.3333 Å; angles 90.00, 90.00, 90.00 degrees
Fractional coordinates of all 8 atoms:
La1 0.0000 0.0000 0.0959
La2 0.0000 0.0000 0.3658
La3 0.0000 0.0000 0.6342
La4 0.0000 0.0000 0.9040
Nd1 0.5000 0.5000 0.2337
Nd2 0.5000 0.5000 0.5000
Nd3 0.5000 0.5000 0.7663
Zn1 0.5000 0.5000 0.0000

Main lines, in order of falling intensity (2θ from 5° to 70°):
d [Å]	Position (°2θ)	intensity
2.963	30.16	100.0
2.652	33.80	45.2
1.584	58.23	30.8
1.875	48.55	16.3
3.241	27.52	14.3
1.913	47.53	13.1
1.591	57.95	12.9
1.786	51.14	11.9
2.762	32.42	9.5
1.481	62.73	8.2
2.417	37.21	7.4
1.551	59.59	6.7

=====

2.
Starting from the GGA-PBE geometry in Alexandria, the powder diffractogram of LaNd4Zn4 was calculated for λ = 1.5418 Å (Cu Kα).

Cell lengths 7.3445, 7.3445, 7.3445 Å; angles 97.56, 97.56, 137.46 degrees
Fractional coordinates of all 9 atoms:
La1 0.0000 0.0000 0.0000
Nd1 0.1059 0.6565 0.7624
Nd2 0.3435 0.1059 0.4493
Nd3 0.6565 0.8941 0.5507
Nd4 0.8941 0.3435 0.2376
Zn1 0.3204 0.4238 0.7442
Zn2 0.4238 0.6796 0.1034
Zn3 0.5762 0.3204 0.8966
Zn4 0.6796 0.5762 0.2558

Main lines, in order of falling intensity (2θ from 5° to 70°):
d [Å]	Position (°2θ)	intensity
2.397	37.51	100.0
3.360	26.53	98.5
3.061	29.18	65.6
2.664	33.64	55.2
2.760	32.44	43.1
2.010	45.12	39.8
1.481	62.72	21.7
1.525	60.74	17.9
2.148	42.06	16.1
1.819	50.14	14.3
2.420	37.15	13.4
1.546	59.82	13.1